# 1
Starting from the PBE geometry in Alexandria, the powder diffraction line list of AcTb8Dy3 was simulated for λ = 1.5418 Å (Cu Kα).

Cell and atoms:
a = 6.3240 Å, b = 8.5283 Å, c = 8.5409 Å
α = 84.37°, β = 68.27°, γ = 68.32°
Space group P1 (No. 1)
Inequivalent atoms, fractional coordinates:
Ac (0.0000, 0.0000, 0.0000) (multiplicity 1)
Tb (0.3249, 0.1700, 0.1706) (multiplicity 1)
Tb (0.3332, 0.0866, 0.5783) (multiplicity 1)
Tb (0.3327, 0.5785, 0.0870) (multiplicity 1)
Tb (0.3342, 0.6631, 0.6633) (multiplicity 1)
Tb (0.6615, 0.3364, 0.3365) (multiplicity 1)
Tb (0.6656, 0.8294, 0.8300) (multiplicity 1)
Tb (0.9964, 0.4228, 0.9147) (multiplicity 1)
Tb (0.9972, 0.9141, 0.4229) (multiplicity 1)
Dy (0.6604, 0.2534, 0.7481) (multiplicity 1)
Dy (0.6608, 0.7482, 0.2532) (multiplicity 1)
Dy (0.9957, 0.4999, 0.5001) (multiplicity 1)

Peak list (6 most intense, 10° ≤ 2θ ≤ 80°, most intense first)
two_theta  I (rel.)  index
32.33  100  1 0 -2
31.21  24  0 2 -2
28.21  24  1 2 2
56.25  21  1 -4 2
49.94  20  3 3 3
60.07  19  3 1 5


# 2
Starting from the PBE geometry in Alexandria, the powder diffraction line list of FeB3W2 was simulated for λ = 1.5418 Å (Cu Kα).

Cell and atoms:
a = 5.5021 Å, b = 3.1125 Å, c = 14.0231 Å
α = 90.00°, β = 90.00°, γ = 90.00°
Space group Pnma (No. 62)
Inequivalent atoms, fractional coordinates:
Fe (0.0236, 0.2500, 0.0626) (multiplicity 4)
B (0.0183, 0.2500, 0.3039) (multiplicity 4)
B (0.1470, 0.7500, 0.8107) (multiplicity 4)
B (0.2466, 0.2500, 0.5369) (multiplicity 4)
W (0.1398, 0.7500, 0.4193) (multiplicity 4)
W (0.1976, 0.7500, 0.2016) (multiplicity 4)

Peak list (6 most intense, 10° ≤ 2θ ≤ 80°, most intense first)
two_theta  I (rel.)  index
30.23  100  1 0 4
46.61  80  1 1 5
29.39  78  0 1 1
42.16  57  1 1 4
33.19  43  2 0 1
43.93  41  2 1 0


# 3
Starting from the PBE geometry in Alexandria, the powder diffraction line list of CsK2Pb2Br7 was simulated for λ = 1.5418 Å (Cu Kα).

Cell and atoms:
a = 6.1553 Å, b = 25.6159 Å, c = 6.4346 Å
α = 90.00°, β = 90.00°, γ = 90.00°
Space group Imm2 (No. 44)
Inequivalent atoms, fractional coordinates:
Cs (0.0000, 0.0000, 0.0000) (multiplicity 2)
K (0.0000, 0.2603, 0.4265) (multiplicity 4)
Pb (0.0000, 0.3860, 0.9436) (multiplicity 4)
Br (0.0000, 0.1184, 0.4081) (multiplicity 4)
Br (0.0000, 0.2672, 0.9268) (multiplicity 4)
Br (0.0000, 0.3921, 0.3908) (multiplicity 4)
Br (0.0000, 0.5000, 0.8590) (multiplicity 2)

Peak list (6 most intense, 10° ≤ 2θ ≤ 80°, most intense first)
two_theta  I (rel.)  index
40.61  100  2 0 2
29.01  81  2 0 0
27.73  72  0 0 2
27.86  60  0 8 0
17.26  45  0 3 1
14.80  44  1 1 0


# 4
Starting from the PBE geometry in Alexandria, the powder diffraction line list of Dy3TeP2Rh9 was simulated for λ = 1.5418 Å (Cu Kα).

Cell and atoms:
a = 6.0569 Å, b = 6.0569 Å, c = 9.2342 Å
α = 90.00°, β = 90.00°, γ = 120.00°
Space group P-3m1 (No. 164)
Inequivalent atoms, fractional coordinates:
Dy (0.0000, 0.0000, 0.0000) (multiplicity 1)
Dy (0.3333, 0.6667, 0.7314) (multiplicity 2)
Te (0.0000, 0.0000, 0.5000) (multiplicity 1)
P (0.3333, 0.6667, 0.1602) (multiplicity 2)
Rh (0.0000, 0.5000, 0.0000) (multiplicity 3)
Rh (0.1514, 0.3029, 0.2732) (multiplicity 6)

Peak list (6 most intense, 10° ≤ 2θ ≤ 80°, most intense first)
two_theta  I (rel.)  index
39.52  100  2 0 2
35.58  82  0 2 1
45.43  33  2 0 3
39.02  27  0 0 4
61.21  27  2 2 0
75.01  22  2 2 4